[1]
Structure and simulated powder diffraction line list of Mg2Ta2MnO8 (DFT lattice parameters and positions (GGA+U); Cu Kα, 1.54184 Å).

Main lines, by angle (5 to 70 degrees two-theta):
2θ (°)	I/Imax
18.3	73.3
22.9	87.5
26.3	56.4
32.2	54.0
32.4	59.1
34.3	100.0

Structure:
```
26
Lattice="9.7218 -3.0226 0.0000 9.7218 3.0226 0.0000 -0.0388 0.0000 5.2320" Properties=species:S:1:pos:R:3 pbc="T T T"
Mg 4.4156 0.8571 1.2794
Mg 4.3962 -0.8571 3.8954
Mg 15.0086 0.8571 1.3366
Mg 14.9892 -0.8571 3.9526
Ta 7.4104 0.9881 1.3558
Ta 12.0138 0.9881 1.2602
Ta 7.3910 -0.9881 3.9718
Ta 11.9944 -0.9881 3.8762
Mn 9.6927 2.0825 3.9240
Mn 9.7121 -2.0825 1.3080
O 3.7014 0.8876 4.6006
O 8.5183 2.2453 2.1259
O 10.9059 2.2452 0.4901
O 6.0584 0.6308 2.8595
O 8.2508 0.6500 4.8566
O 3.7208 -0.8876 1.9846
O 6.0779 -0.6308 0.2435
O 11.1345 0.6500 2.9914
O 8.2702 -0.6500 2.2406
O 13.3269 0.6308 4.9885
O 15.6840 0.8876 3.2474
O 11.1539 -0.6500 0.3754
O 13.3463 -0.6308 2.3725
O 8.4989 -2.2452 4.7419
O 10.8865 -2.2453 3.1061
O 15.7034 -0.8876 0.6314
```

***

[2]
Structure and simulated powder diffraction line list of KDySnWO6 (DFT lattice parameters and positions (GGA+U); Cu Kα, 1.54184 Å).

Main lines, by angle (5 to 70 degrees two-theta):
2θ (°)	I/Imax
21.2	24.9
30.1	100.0
43.2	30.0
48.6	10.5
53.5	40.8
62.7	18.7

Structure:
```
10
Lattice="0.0000 4.1925 4.1925 4.1925 0.0000 4.1925 4.1925 4.1925 0.0000" Properties=species:S:1:pos:R:3 pbc="T T T"
K 0.0000 0.0000 0.0000
Dy 2.0962 2.0962 2.0962
Sn 4.1925 4.1925 4.1925
W 6.2887 6.2887 6.2887
O 6.2887 6.2887 4.3365
O 6.2887 4.3365 6.2887
O 8.2409 6.2887 6.2887
O 4.3365 6.2887 6.2887
O 6.2887 8.2409 6.2887
O 6.2887 6.2887 8.2409
```

***

[3]
Structure and simulated powder diffraction line list of NiBPO6 (DFT lattice parameters and positions (GGA+U); Cu Kα, 1.54184 Å).

Main lines, by angle (5 to 70 degrees two-theta):
2θ (°)	I/Imax
13.8	100.0
24.0	69.8
25.0	40.4
27.8	47.7
31.1	84.7
37.0	36.9

Structure:
```
54
Lattice="7.4162 0.0000 0.0000 -3.7081 6.4226 0.0000 0.0000 0.0000 12.8584" Properties=species:S:1:pos:R:3 pbc="T T T"
Ni -2.8281 4.8985 2.1431
Ni -3.2058 5.5526 8.5723
Ni 0.5023 0.8700 0.0000
Ni 0.8799 1.5241 6.4292
Ni 5.6563 0.0000 10.7153
Ni 6.4116 0.0000 4.2861
B -0.7032 4.4581 10.0685
B 0.1989 3.5845 1.4962
B 0.5043 4.8026 5.7824
B 3.0048 1.9645 11.3622
B 4.2124 1.6200 2.7899
B 3.9070 2.8381 7.0761
P -2.2808 4.7959 5.5129
P 0.6951 2.0494 9.7990
P 1.4273 1.6267 3.0594
P 1.5857 5.9998 1.2267
P 5.2937 0.4227 7.3455
P 4.4032 4.3731 11.6317
O -2.8344 5.2094 0.0457
O -1.6353 3.9192 11.0714
O -0.1141 1.3106 10.8728
O -2.5161 5.8661 6.5866
O -0.1988 2.6399 0.4877
O 0.6138 1.3632 4.3318
O -0.9457 4.2067 2.1615
O 1.1920 0.5565 1.9856
O 0.8736 1.2132 8.5266
O -1.3225 5.2748 9.0600
O -0.0295 3.3652 9.3359
O -0.7790 4.7655 5.0498
O 0.5378 3.5003 6.4476
O 1.1316 3.0468 2.4991
O 2.3856 1.1478 12.3707
O 0.4078 5.1382 10.7338
O 2.0728 2.5034 10.3593
O 0.8085 4.7145 0.7636
O 2.9291 1.6570 3.5225
O 0.5037 5.8792 6.7852
O 2.7624 2.2159 6.4108
O 1.5213 4.9305 4.7738
O 4.2118 0.5434 1.7870
O 4.1159 1.2844 10.6969
O 3.6786 3.0574 12.0948
O 4.5166 1.7081 7.8086
O 3.5093 3.7827 8.0846
O 2.2206 6.2726 8.6179
O 2.6301 5.6685 2.3005
O 4.2459 2.9223 2.1246
O 5.9287 0.1500 12.8128
O 5.2293 1.4921 3.7984
O 3.5940 5.1120 10.5579
O 6.3382 0.7541 6.2718
O 4.8397 3.3758 6.0732
O 4.3219 5.0594 4.2405
```

***

[4]
Structure and simulated powder diffraction line list of NaMnP2H10NO10 (DFT lattice parameters and positions (GGA+U); Cu Kα, 1.54184 Å).

Main lines, by angle (5 to 70 degrees two-theta):
2θ (°)	I/Imax
10.5	24.6
10.8	100.0
17.4	48.0
21.1	48.0
28.6	68.0
32.6	35.9

Structure:
```
50
Lattice="5.0900 -8.2120 0.0000 5.0900 8.2120 0.0000 -1.3679 0.0000 5.4600" Properties=species:S:1:pos:R:3 pbc="T T T"
Na 4.4060 7.2093 2.7300
Na 5.0900 -7.2093 0.0000
Mn 5.0813 4.0228 1.4816
Mn 4.3974 -4.0228 4.2116
P 2.5851 3.5003 3.7753
P 3.2690 -3.5003 1.0452
P 7.8717 2.0734 2.1902
P 7.1878 -2.0734 4.9202
H 0.5886 1.4066 3.5815
H 2.3327 2.8686 0.4446
H 1.4215 0.1612 4.0617
H 1.2725 -1.4066 0.8515
H 2.1054 -0.1612 1.3317
H 3.6736 1.4204 2.0218
H 3.8106 1.0346 0.5439
H 5.6058 5.0468 4.2403
H 1.6488 -2.8686 3.1746
H 3.1267 -1.0346 3.2739
H 2.9897 -1.4204 4.7518
H 5.4713 1.7627 3.6428
H 4.5524 0.5059 4.3510
H 5.1225 1.7635 5.3134
H 5.2364 -0.5059 1.6210
H 6.2178 0.6292 4.6625
H 6.1552 -1.7627 0.9128
H 5.8064 -1.7635 2.5834
H 6.9018 -0.6292 1.9324
H 6.2897 -5.0468 1.5102
N 5.3428 1.1739 4.4940
N 6.0268 -1.1739 1.7640
O 3.9538 5.7593 0.8637
O 2.8560 5.1033 3.8654
O 0.5072 0.5366 4.0264
O 1.1911 -0.5366 1.2964
O 2.7692 2.9282 5.1960
O 3.6297 2.9951 2.7733
O 5.7594 5.2755 3.2792
O 3.7292 0.6153 1.4303
O 6.9178 4.9046 0.5201
O 3.0453 -0.6153 4.1603
O 6.3578 2.3162 1.9894
O 3.4531 -2.9282 2.4659
O 4.3136 -2.9951 0.0433
O 3.5400 -5.1033 1.1354
O 3.2699 -5.7593 3.5937
O 8.3015 0.7085 1.6929
O 5.6738 -2.3162 4.7195
O 7.6176 -0.7085 4.4229
O 6.4433 -5.2755 0.5492
O 6.2338 -4.9046 3.2501
```